Record 1
The following is a computed powder diffraction line list of Ga2Sb. It was derived from the PBE geometry in Alexandria, using Cu Kα (λ = 1.5418 Å).

```
data_Ga2Sb
_cell_length_a 5.2369
_cell_length_b 5.2369
_cell_length_c 8.5949
_cell_angle_alpha 90.00
_cell_angle_beta 90.00
_cell_angle_gamma 120.00
_space_group_name_H-M_alt 'R -3 m'
_space_group_IT_number 166
_space_group_name_Hall '-R 3 2"'
loop_
_atom_site_label
_atom_site_type_symbol
_atom_site_fract_x
_atom_site_fract_y
_atom_site_fract_z
Ga1 Ga 0.0000 0.0000 0.1622
Sb1 Sb 0.0000 0.0000 0.5000
```

Largest 10 diffraction maxima, low angle first, 10 to 90 degrees two-theta:
22.16 deg, intensity 8.2, (1 0 1)
28.62 deg, intensity 6.7, (0 1 2)
31.22 deg, intensity 42.5, (0 0 3)
34.25 deg, intensity 100.0, (1 1 0)
47.01 deg, intensity 80.6, (1 1 3)
61.32 deg, intensity 17.8, (3 0 0)
70.42 deg, intensity 23.3, (3 0 3)
72.15 deg, intensity 10.9, (2 2 0)
75.68 deg, intensity 18.7, (1 1 6)
80.69 deg, intensity 15.9, (2 2 3)


Record 2
The following is a computed powder diffraction line list of Ga2Sb. It was derived from the PBE geometry in Alexandria, using Cu Kα (λ = 1.5418 Å).

```
data_Ga2Sb
_cell_length_a 4.2275
_cell_length_b 15.4531
_cell_length_c 4.5779
_cell_angle_alpha 90.00
_cell_angle_beta 91.88
_cell_angle_gamma 90.00
_space_group_name_H-M_alt 'C 1 c 1'
_space_group_IT_number 9
loop_
_space_group_symop_operation_xyz
'x,y,z'
'x,-y,z+1/2'
'x+1/2,y+1/2,z'
'x+1/2,-y+1/2,z+1/2'
loop_
_atom_site_label
_atom_site_type_symbol
_atom_site_fract_x
_atom_site_fract_y
_atom_site_fract_z
Ga1 Ga 0.0000 0.0427 0.0000
Ga2 Ga 0.0296 0.1742 0.6195
Sb1 Sb 0.0103 0.3519 0.7193
```

Largest 10 diffraction maxima, low angle first, 10 to 90 degrees two-theta:
22.58 deg, intensity 48.4, (0 2 1)
27.30 deg, intensity 46.9, (1 3 0)
28.87 deg, intensity 95.0, (1 1 -1)
29.82 deg, intensity 100.0, (1 1 1)
30.28 deg, intensity 45.1, (0 4 1)
34.83 deg, intensity 36.6, (0 6 0)
40.87 deg, intensity 78.0, (1 5 -1)
41.57 deg, intensity 70.3, (1 5 1)
42.80 deg, intensity 56.1, (2 0 0)
46.11 deg, intensity 49.3, (0 4 2)


Record 3
The following is a computed powder diffraction line list of GaSbSe3. It was derived from the PBE geometry in Alexandria, using Cu Kα (λ = 1.5418 Å).

```
data_GaSbSe3
_cell_length_a 6.8350
_cell_length_b 6.8350
_cell_length_c 21.6254
_cell_angle_alpha 90.00
_cell_angle_beta 90.00
_cell_angle_gamma 120.00
_space_group_name_H-M_alt 'R -3'
_space_group_IT_number 148
_space_group_name_Hall '-R 3'
loop_
_atom_site_label
_atom_site_type_symbol
_atom_site_fract_x
_atom_site_fract_y
_atom_site_fract_z
Ga1 Ga 0.0000 0.0000 0.0660
Sb1 Sb 0.0000 0.0000 0.3333
Se1 Se 0.0013 0.6563 0.9152
```

Largest 10 diffraction maxima, low angle first, 10 to 90 degrees two-theta:
12.28 deg, intensity 36.9, (0 0 3)
24.70 deg, intensity 12.1, (0 0 6)
28.91 deg, intensity 100.0, (2 -1 3)
36.22 deg, intensity 27.9, (1 1 6)
46.00 deg, intensity 39.4, (3 0 0)
46.18 deg, intensity 18.8, (1 1 9)
55.25 deg, intensity 15.4, (2 2 3)
70.81 deg, intensity 16.2, (3 0 12)
70.95 deg, intensity 9.8, (2 -1 15)
74.65 deg, intensity 12.3, (5 -1 3)


Record 4
The following is a computed powder diffraction line list of Sm8GaSb3Te4. It was derived from the PBE geometry in Alexandria, using Cu Kα (λ = 1.5418 Å).

```
data_Sm8GaSb3Te4
_cell_length_a 8.8807
_cell_length_b 8.8807
_cell_length_c 21.8258
_cell_angle_alpha 90.00
_cell_angle_beta 90.00
_cell_angle_gamma 120.00
_space_group_name_H-M_alt 'R -3 m'
_space_group_IT_number 166
_space_group_name_Hall '-R 3 2"'
loop_
_atom_site_label
_atom_site_type_symbol
_atom_site_fract_x
_atom_site_fract_y
_atom_site_fract_z
Sm1 Sm 0.0000 0.0000 0.2466
Sm2 Sm 0.0111 0.5056 0.2448
Ga1 Ga 0.0000 0.0000 0.5000
Sb1 Sb 0.0000 0.5000 0.5000
Te1 Te 0.0000 0.0000 0.0000
Te2 Te 0.0000 0.5000 0.0000
```

Largest 10 diffraction maxima, low angle first, 10 to 90 degrees two-theta:
28.39 deg, intensity 100.0, (0 2 4)
40.59 deg, intensity 75.4, (2 2 0)
50.16 deg, intensity 6.5, (0 0 12)
50.32 deg, intensity 20.2, (4 0 4)
58.75 deg, intensity 12.3, (0 4 8)
66.45 deg, intensity 16.3, (2 2 12)
66.58 deg, intensity 17.1, (2 4 4)
73.69 deg, intensity 5.7, (0 2 16)
73.90 deg, intensity 18.6, (6 0 0)
87.97 deg, intensity 4.1, (4 4 0)